For TlSnP2O8, a GGA-PBE-relaxed structure gives the theoretical X-ray powder pattern in this record (λ = 1.5418 Å (Cu Kα)).
No peak broadening, texture or thermal motion is included.

Peak list (6 most intense, 5 to 70 degrees two-theta, low angle first)
2theta  I (rel.)  index
22.29  56.5  0 0 6
25.79  100.0  1 0 4
36.74  33.3  1 1 0
36.85  27.7  0 1 8
43.42  39.0  1 1 6
66.21  20.8  3 0 0

Structure:
abc: 4.8921 4.8921 23.8680
angles: 90.00 90.00 120.00
Space group R-3 (No. 148, hexagonal axes)
Inequivalent atoms, fractional coordinates:
Tl 0.0000 0.0000 0.0000
Sn 0.0000 0.0000 0.5000
P 0.0000 0.0000 0.2394
O 0.0000 0.0000 0.3048
O 0.0219 0.6442 0.8858